The following is a theoretical powder diffractogram of Nd4Ag3Sn. It was derived from the GGA-PBE geometry in Alexandria, using Cu Ka.

Cell and atoms:
```
data_Nd4Ag3Sn
_cell_length_a 5.357
_cell_length_b 5.357
_cell_length_c 15.186
_cell_angle_alpha 90.00
_cell_angle_beta 90.00
_cell_angle_gamma 90.00
_space_group_name_H-M_alt 'I 4/m m m'
_space_group_IT_number 139
_space_group_name_Hall '-I 4 2'
loop_
_atom_site_label
_atom_site_type_symbol
_atom_site_fract_x
_atom_site_fract_y
_atom_site_fract_z
Nd1 Nd 0.000 0.500 0.127
Ag1 Ag 0.000 0.000 0.000
Ag2 Ag 0.000 0.000 0.248
Sn1 Sn 0.000 0.000 0.500
```

Top 8 peaks for 10° ≤ 2θ ≤ 90°, in order of rising 2θ:
| Position (°2θ) | intensity |
| --- | --- |
| 33.4 | 100.0 |
| 47.9 | 6.0 |
| 48.0 | 11.9 |
| 59.8 | 36.8 |
| 70.2 | 11.3 |
| 79.9 | 5.2 |
| 80.1 | 10.6 |
| 89.6 | 4.1 |

=====

The following is a theoretical powder diffractogram of NdAg8Sn3. It was derived from the GGA-PBE geometry in Alexandria, using Cu Ka.

Cell and atoms:
```
data_NdAg8Sn3
_cell_length_a 5.7046
_cell_length_b 5.7046
_cell_length_c 9.1015
_cell_angle_alpha 90.00
_cell_angle_beta 90.00
_cell_angle_gamma 120.00
_space_group_name_H-M_alt 'P 3 m 1'
_space_group_IT_number 156
loop_
_space_group_symop_operation_xyz
'x,y,z'
'-y,x-y,z'
'-x+y,-x,z'
'-y,-x,z'
'-x+y,y,z'
'x,x-y,z'
loop_
_atom_site_label
_atom_site_type_symbol
_atom_site_fract_x
_atom_site_fract_y
_atom_site_fract_z
Nd1 Nd 0.0000 0.0000 0.0000
Ag1 Ag 0.1635 0.3271 0.6776
Ag2 Ag 0.3333 0.6667 0.4317
Ag3 Ag 0.3333 0.6667 0.9301
Ag4 Ag 0.5027 0.0054 0.1834
Sn1 Sn 0.0000 0.0000 0.3802
Sn2 Sn 0.6667 0.3333 0.4771
Sn3 Sn 0.6667 0.3333 0.8602
```

Top 8 peaks for 10° ≤ 2θ ≤ 90°, in order of rising 2θ:
| Position (°2θ) | intensity |
| --- | --- |
| 31.4 | 30.6 |
| 34.7 | 63.9 |
| 37.2 | 100.0 |
| 37.7 | 79.5 |
| 58.0 | 26.6 |
| 59.7 | 24.6 |
| 63.5 | 29.4 |
| 65.4 | 27.1 |

=====

The following is a theoretical powder diffractogram of Nd2Ag3Sn4. It was derived from the GGA-PBE geometry in Alexandria, using Cu Ka.

Cell and atoms:
```
data_Nd2Ag3Sn4
_cell_length_a 6.376
_cell_length_b 16.358
_cell_length_c 8.416
_cell_angle_alpha 90.00
_cell_angle_beta 90.00
_cell_angle_gamma 90.00
_space_group_name_H-M_alt 'C m c e'
_space_group_IT_number 64
_space_group_name_Hall '-C 2ac 2'
loop_
_atom_site_label
_atom_site_type_symbol
_atom_site_fract_x
_atom_site_fract_y
_atom_site_fract_z
Nd1 Nd 0.000 0.111 0.091
Ag1 Ag 0.000 0.000 0.500
Ag2 Ag 0.250 0.226 0.750
Sn1 Sn 0.000 0.179 0.471
Sn2 Sn 0.250 0.054 0.750
```

Top 8 peaks for 10° ≤ 2θ ≤ 90°, in order of rising 2θ:
| Position (°2θ) | intensity |
| --- | --- |
| 32.0 | 44.6 |
| 32.5 | 71.6 |
| 33.8 | 41.5 |
| 34.6 | 28.5 |
| 35.3 | 100.0 |
| 35.7 | 20.1 |
| 39.4 | 19.2 |
| 55.1 | 20.0 |

=====

The following is a theoretical powder diffractogram of Nd4AgSn. It was derived from the GGA-PBE geometry in Alexandria, using Cu Ka.

Cell and atoms:
```
data_Nd4AgSn
_cell_length_a 5.637
_cell_length_b 21.454
_cell_length_c 6.580
_cell_angle_alpha 90.00
_cell_angle_beta 90.00
_cell_angle_gamma 90.00
_space_group_name_H-M_alt 'C m c m'
_space_group_IT_number 63
_space_group_name_Hall '-C 2c 2'
loop_
_atom_site_label
_atom_site_type_symbol
_atom_site_fract_x
_atom_site_fract_y
_atom_site_fract_z
Nd1 Nd 0.000 0.059 0.250
Nd2 Nd 0.000 0.209 0.008
Nd3 Nd 0.000 0.381 0.250
Ag1 Ag 0.000 0.080 0.750
Sn1 Sn 0.000 0.348 0.750
```

Top 8 peaks for 10° ≤ 2θ ≤ 90°, in order of rising 2θ:
| Position (°2θ) | intensity |
| --- | --- |
| 28.4 | 59.3 |
| 31.7 | 77.7 |
| 31.9 | 41.4 |
| 33.3 | 100.0 |
| 33.9 | 90.1 |
| 43.1 | 38.0 |
| 45.6 | 30.8 |
| 66.6 | 27.1 |

=====

Q: Number 4 is which compound?
A: Nd4AgSn

=====

What did the fourth record say?
The following is a theoretical powder diffractogram of Nd4AgSn. It was derived from the GGA-PBE geometry in Alexandria, using Cu Ka.

Cell and atoms:
```
data_Nd4AgSn
_cell_length_a 5.637
_cell_length_b 21.454
_cell_length_c 6.580
_cell_angle_alpha 90.00
_cell_angle_beta 90.00
_cell_angle_gamma 90.00
_space_group_name_H-M_alt 'C m c m'
_space_group_IT_number 63
_space_group_name_Hall '-C 2c 2'
loop_
_atom_site_label
_atom_site_type_symbol
_atom_site_fract_x
_atom_site_fract_y
_atom_site_fract_z
Nd1 Nd 0.000 0.059 0.250
Nd2 Nd 0.000 0.209 0.008
Nd3 Nd 0.000 0.381 0.250
Ag1 Ag 0.000 0.080 0.750
Sn1 Sn 0.000 0.348 0.750
```

Top 8 peaks for 10° ≤ 2θ ≤ 90°, in order of rising 2θ:
| Position (°2θ) | intensity |
| --- | --- |
| 28.4 | 59.3 |
| 31.7 | 77.7 |
| 31.9 | 41.4 |
| 33.3 | 100.0 |
| 33.9 | 90.1 |
| 43.1 | 38.0 |
| 45.6 | 30.8 |
| 66.6 | 27.1 |